DyFe3B4O12: theoretical X-ray powder pattern (Cu Kα X-rays), based on DFT lattice parameters and positions (PBE+U).
Kinematic intensities with the Lorentz-polarization factor, no thermal factor.

Principal peaks in the range 10 to 80 degrees two-theta, low angle first:
(1 0 1), 2θ = 15.73°, intensity 35; (1 1 0), 2θ = 18.46°, intensity 27; (0 2 1), 2θ = 24.34°, intensity 84; (2 1 1), 2θ = 30.73°, intensity 27; (2 0 2), 2θ = 31.77°, intensity 100; (1 2 2), 2θ = 36.99°, intensity 19; (2 2 0), 2θ = 37.42°, intensity 26; (3 1 2), 2θ = 45.91°, intensity 20; (2 2 3), 2θ = 52.31°, intensity 31; (0 2 4), 2θ = 52.67°, intensity 20

Structural model:
Cell: 9.6125 9.6125 7.6500 Å, 90.00 90.00 120.00°
Sites, in units of the cell vectors:
Dy  0.0000  0.3352  0.1667
Dy  0.3352  0.0000  0.8333
Dy  0.6648  0.6648  0.5000
Fe  0.0000  0.8847  0.1667
Fe  0.1153  0.1153  0.5000
Fe  0.2123  0.6636  0.4885
Fe  0.3364  0.5487  0.8218
Fe  0.4513  0.7877  0.1551
Fe  0.5487  0.3364  0.1782
Fe  0.6636  0.2123  0.5115
Fe  0.7877  0.4513  0.8449
Fe  0.8847  0.0000  0.8333
B  0.0000  0.3319  0.6667
B  0.0000  0.7783  0.6667
B  0.1246  0.6763  0.9856
B  0.2217  0.2217  0.0000
B  0.3237  0.4483  0.3189
B  0.3319  0.0000  0.3333
B  0.4483  0.3237  0.6811
B  0.5517  0.8754  0.6523
B  0.6681  0.6681  0.0000
B  0.6763  0.1246  0.0144
B  0.7783  0.0000  0.3333
B  0.8754  0.5517  0.3477
O  0.0000  0.1881  0.6667
O  0.0000  0.9220  0.6667
O  0.0087  0.5338  0.3509
O  0.0780  0.0780  0.0000
O  0.1227  0.8176  0.0108
O  0.1446  0.4747  0.6576
O  0.1475  0.7859  0.6487
O  0.1824  0.3051  0.3442
O  0.1881  0.0000  0.3333
O  0.2141  0.3616  0.9820
O  0.2758  0.6944  0.9612
O  0.3051  0.1824  0.6558
O  0.3056  0.5814  0.2945
O  0.3301  0.8554  0.3243
O  0.3616  0.2141  0.0180
O  0.4186  0.7242  0.6279
O  0.4662  0.4749  0.6842
O  0.4747  0.1446  0.3424
O  0.4749  0.4662  0.3158
O  0.5253  0.6699  0.9909
O  0.5251  0.9913  0.0175
O  0.5338  0.0087  0.6491
O  0.5814  0.3056  0.7055
O  0.6384  0.8525  0.3153
O  0.6699  0.5253  0.0091
O  0.6944  0.2758  0.0388
O  0.6949  0.8773  0.6775
O  0.7242  0.4186  0.3721
O  0.7859  0.1475  0.3513
O  0.8119  0.8119  0.0000
O  0.8176  0.1227  0.9892
O  0.8525  0.6384  0.6847
O  0.8554  0.3301  0.6757
O  0.8773  0.6949  0.3225
O  0.9220  0.0000  0.3333
O  0.9913  0.5251  0.9825